This entry pairs a crystal structure of TaCo4Si with its computed powder X-ray diffraction pattern. Radiation: copper Kα. Structure: a PBE-relaxed structure.
Intensities are scaled so that the largest is 100.

Top 10 peaks for 2θ = 15–90°, in order of rising 2θ:
- (0 1 1), d 3.595, rel. 39
- (0 1 2), d 2.753, rel. 66
- (1 1 0), d 2.374, rel. 57
- (1 1 1), d 2.261, rel. 37
- (1 0 3), d 2.118, rel. 100
- (1 1 2), d 1.999, rel. 79
- (2 0 1), d 1.981, rel. 100
- (0 2 2), d 1.798, rel. 27
- (2 1 3), d 1.315, rel. 39
- (2 2 0), d 1.187, rel. 28

Crystal structure
```
data_TaCo4Si
_chemical_formula_sum 'Ta2 Co8 Si2'
_symmetry_space_group_name_H-M 'P -3 m 1'
_symmetry_Int_Tables_number 164
_symmetry_space_group_name_Hall '-P 3 2"'
_cell_length_a 4.7476
_cell_length_b 4.7476
_cell_length_c 7.4124
_cell_angle_alpha 90.00
_cell_angle_beta 90.00
_cell_angle_gamma 120.00
loop_
_atom_site_label
_atom_site_type_symbol
_atom_site_fract_x
_atom_site_fract_y
_atom_site_fract_z
_atom_site_occupancy
Ta1 Ta 0.3333 0.6667 0.4110 1
Co1 Co 0.0000 0.0000 0.0000 1
Co2 Co 0.0000 0.0000 0.5000 1
Co3 Co 0.1702 0.3405 0.7551 1
Si1 Si 0.3333 0.6667 0.0480 1
```

This entry pairs a crystal structure of Er4Ge8Pt with its computed powder X-ray diffraction pattern. Radiation: copper Kα. Structure: a PBE-relaxed structure.
Intensities are scaled so that the largest is 100.

Top 10 peaks for 2θ = 15–90°, in order of rising 2θ:
- (1 0 2), d 3.582, rel. 11
- (1 1 1), d 2.803, rel. 15
- (0 1 5), d 2.564, rel. 26
- (1 1 3), d 2.527, rel. 100
- (1 0 6), d 2.262, rel. 16
- (0 2 0), d 2.035, rel. 22
- (2 0 0), d 1.988, rel. 21
- (2 1 5), d 1.571, rel. 12
- (2 2 0), d 1.422, rel. 15
- (1 3 3), d 1.251, rel. 11

Crystal structure
```
data_Er4Ge8Pt
_chemical_formula_sum 'Er4 Ge8 Pt1'
_symmetry_space_group_name_H-M 'P m m 2'
_symmetry_Int_Tables_number 25
_cell_length_a 3.975
_cell_length_b 4.071
_cell_length_c 16.507
_cell_angle_alpha 90.00
_cell_angle_beta 90.00
_cell_angle_gamma 90.00
loop_
_symmetry_equiv_pos_as_xyz
'x,y,z'
'-x,-y,z'
'-x,y,z'
'x,-y,z'
loop_
_atom_site_label
_atom_site_type_symbol
_atom_site_fract_x
_atom_site_fract_y
_atom_site_fract_z
_atom_site_occupancy
Er1 Er 0.000 0.000 0.000 1
Er2 Er 0.000 0.500 0.480 1
Er3 Er 0.500 0.000 0.788 1
Er4 Er 0.500 0.500 0.279 1
Ge1 Ge 0.000 0.000 0.324 1
Ge2 Ge 0.000 0.000 0.617 1
Ge3 Ge 0.000 0.500 0.137 1
Ge4 Ge 0.000 0.500 0.860 1
Ge5 Ge 0.500 0.000 0.142 1
Ge6 Ge 0.500 0.000 0.426 1
Ge7 Ge 0.500 0.500 0.615 1
Ge8 Ge 0.500 0.500 0.958 1
Pt1 Pt 0.000 0.500 0.712 1
```

This entry pairs a crystal structure of LaPrO3 with its computed powder X-ray diffraction pattern. Radiation: copper Kα. Structure: a PBE-relaxed structure.
Intensities are scaled so that the largest is 100.

Top 10 peaks for 2θ = 15–90°, in order of rising 2θ:
- (1 0 0), d 5.485, rel. 100
- (0 0 1), d 3.262, rel. 19
- (1 1 0), d 3.167, rel. 72
- (1 0 1), d 2.804, rel. 23
- (1 1 1), d 2.272, rel. 73
- (2 0 1), d 2.099, rel. 23
- (2 1 0), d 2.073, rel. 15
- (3 0 0), d 1.828, rel. 15
- (3 0 1), d 1.595, rel. 24
- (4 1 1), d 1.124, rel. 15

Crystal structure
```
data_LaPrO3
_chemical_formula_sum 'La1 Pr1 O3'
_symmetry_space_group_name_H-M 'P -6 m 2'
_symmetry_Int_Tables_number 187
_symmetry_space_group_name_Hall 'P -6 2'
_cell_length_a 6.3330
_cell_length_b 6.3330
_cell_length_c 3.2624
_cell_angle_alpha 90.00
_cell_angle_beta 90.00
_cell_angle_gamma 120.00
loop_
_atom_site_label
_atom_site_type_symbol
_atom_site_fract_x
_atom_site_fract_y
_atom_site_fract_z
_atom_site_occupancy
La1 La 0.0000 0.0000 0.0000 1
Pr1 Pr 0.6667 0.3333 0.0000 1
O1 O 0.3353 0.1676 0.5000 1
```

This entry pairs a crystal structure of AcCuTc2O8 with its computed powder X-ray diffraction pattern. Radiation: copper Kα. Structure: a PBE-relaxed structure.
Intensities are scaled so that the largest is 100.

Top 10 peaks for 2θ = 15–90°, in order of rising 2θ:
- (1 0 0), d 5.013, rel. 58
- (1 0 1), d 4.047, rel. 100
- (1 1 0), d 2.894, rel. 99
- (1 0 2), d 2.831, rel. 96
- (1 1 1), d 2.667, rel. 30
- (0 1 3), d 2.080, rel. 23
- (0 2 2), d 2.024, rel. 52
- (2 1 1), d 1.826, rel. 24
- (2 1 2), d 1.658, rel. 44
- (1 1 4), d 1.475, rel. 25

Crystal structure
```
data_AcCuTc2O8
_chemical_formula_sum 'Ac1 Cu1 Tc2 O8'
_symmetry_space_group_name_H-M 'P -3'
_symmetry_Int_Tables_number 147
_cell_length_a 5.7882
_cell_length_b 5.7882
_cell_length_c 6.8602
_cell_angle_alpha 90.00
_cell_angle_beta 90.00
_cell_angle_gamma 120.00
loop_
_symmetry_equiv_pos_as_xyz
'x,y,z'
'-x,-y,-z'
'-y,x-y,z'
'y,-x+y,-z'
'-x+y,-x,z'
'x-y,x,-z'
loop_
_atom_site_label
_atom_site_type_symbol
_atom_site_fract_x
_atom_site_fract_y
_atom_site_fract_z
_atom_site_occupancy
Ac1 Ac 0.0000 0.0000 0.0000 1
Cu1 Cu 0.0000 0.0000 0.5000 1
Tc1 Tc 0.3333 0.6667 0.7650 1
O1 O 0.1570 0.3161 0.7038 1
O2 O 0.3333 0.6667 0.0261 1
```

This entry pairs a crystal structure of RbScAuI6 with its computed powder X-ray diffraction pattern. Radiation: copper Kα. Structure: a PBE-relaxed structure.
Intensities are scaled so that the largest is 100.

Top 10 peaks for 2θ = 15–90°, in order of rising 2θ:
- (1 1 -1), d 5.584, rel. 34
- (1 1 1), d 4.858, rel. 43
- (2 0 -1), d 3.999, rel. 66
- (1 1 -2), d 3.620, rel. 66
- (2 0 1), d 3.469, rel. 50
- (1 3 -1), d 3.422, rel. 40
- (1 3 1), d 3.232, rel. 100
- (3 1 -1), d 2.726, rel. 37
- (1 3 2), d 2.580, rel. 82
- (3 3 0), d 2.313, rel. 48

Crystal structure
```
data_RbScAuI6
_chemical_formula_sum 'Rb2 Sc2 Au2 I12'
_symmetry_space_group_name_H-M 'C 1 2 1'
_symmetry_Int_Tables_number 5
_cell_length_a 8.546
_cell_length_b 12.247
_cell_length_c 7.908
_cell_angle_alpha 90.00
_cell_angle_beta 99.74
_cell_angle_gamma 90.00
loop_
_symmetry_equiv_pos_as_xyz
'x,y,z'
'-x,y,-z'
'x+1/2,y+1/2,z'
'-x+1/2,y+1/2,-z'
loop_
_atom_site_label
_atom_site_type_symbol
_atom_site_fract_x
_atom_site_fract_y
_atom_site_fract_z
_atom_site_occupancy
Rb1 Rb 0.000 0.000 0.000 1
Sc1 Sc 0.000 0.634 0.500 1
Au1 Au 0.000 0.279 0.500 1
I1 I 0.101 0.446 0.732 1
I2 I 0.161 0.766 0.760 1
I3 I 0.210 0.123 0.661 1
```

This entry pairs a crystal structure of Ag2Ge2Br7 with its computed powder X-ray diffraction pattern. Radiation: copper Kα. Structure: a PBE-relaxed structure.
Intensities are scaled so that the largest is 100.

Top 10 peaks for 2θ = 15–90°, in order of rising 2θ:
- (2 0 -1), d 5.491, rel. 42
- (0 2 1), d 4.126, rel. 100
- (3 1 -1), d 3.647, rel. 33
- (2 2 -2), d 3.006, rel. 42
- (1 3 1), d 2.813, rel. 17
- (3 3 -1), d 2.646, rel. 13
- (4 0 0), d 2.523, rel. 16
- (3 3 -2), d 2.419, rel. 24
- (1 3 2), d 2.148, rel. 31
- (3 5 -1), d 1.896, rel. 22

Crystal structure
```
data_Ag2Ge2Br7
_chemical_formula_sum 'Ag4 Ge4 Br14'
_symmetry_space_group_name_H-M 'C 1 2/m 1'
_symmetry_Int_Tables_number 12
_cell_length_a 11.621
_cell_length_b 10.876
_cell_length_c 7.295
_cell_angle_alpha 90.00
_cell_angle_beta 119.74
_cell_angle_gamma 90.00
loop_
_symmetry_equiv_pos_as_xyz
'x,y,z'
'-x,-y,-z'
'-x,y,-z'
'x,-y,z'
'x+1/2,y+1/2,z'
'-x+1/2,-y+1/2,-z'
'-x+1/2,y+1/2,-z'
'x+1/2,-y+1/2,z'
loop_
_atom_site_label
_atom_site_type_symbol
_atom_site_fract_x
_atom_site_fract_y
_atom_site_fract_z
_atom_site_occupancy
Ag1 Ag 0.000 0.191 0.000 1
Ge1 Ge 0.199 0.500 0.405 1
Br1 Br 0.000 0.500 0.500 1
Br2 Br 0.059 0.000 0.291 1
Br3 Br 0.223 0.324 0.199 1
```